(1)
This entry pairs a crystal structure of LaPr2Er6 with its simulated powder diffractogram. Radiation: copper Kα. Structure: a cell relaxed with PBE.
Lines closer than 0.1° are merged.

Largest 10 diffraction maxima, low angle first, 2θ from 10° to 90°:
- hkl 1 1 1, 31.15°, d = 2.872 Å, I = 85
- hkl 3 0 0, 31.70°, d = 2.823 Å, I = 100
- hkl 0 2 1, 32.94°, d = 2.720 Å, I = 15
- hkl 3 -1 1, 37.86°, d = 2.377 Å, I = 14
- hkl 4 -2 1, 45.03°, d = 2.013 Å, I = 28
- hkl 3 2 1, 53.79°, d = 1.704 Å, I = 11
- hkl 1 4 1, 56.11°, d = 1.639 Å, I = 27
- hkl 3 3 0, 56.46°, d = 1.630 Å, I = 17
- hkl 3 0 2, 61.76°, d = 1.502 Å, I = 18
- hkl 6 0 0, 66.21°, d = 1.411 Å, I = 10

Crystal structure
Unit cell a=9.7790 b=9.7790 c=3.5480 alpha=90.00 beta=90.00 gamma=120.00
Space group P-3 (No. 147)
Inequivalent atoms, fractional coordinates:
La1 0.0000 0.0000 0.0000
Pr1 0.3333 0.6667 0.7640
Er1 0.0216 0.6695 0.2702

(2)
This entry pairs a crystal structure of LaPrEr4 with its simulated powder diffractogram. Radiation: copper Kα. Structure: a cell relaxed with PBE.
Lines closer than 0.1° are merged.

Largest 10 diffraction maxima, low angle first, 2θ from 10° to 90°:
- hkl 1 0 2, 30.54°, d = 2.927 Å, I = 100
- hkl 0 2 0, 30.62°, d = 2.920 Å, I = 33
- hkl 1 2 2, 35.33°, d = 2.541 Å, I = 45
- hkl 0 1 -3, 35.66°, d = 2.518 Å, I = 22
- hkl 1 1 5, 51.04°, d = 1.789 Å, I = 24
- hkl 2 0 -2, 60.34°, d = 1.534 Å, I = 10
- hkl 2 3 1, 60.47°, d = 1.531 Å, I = 19
- hkl 1 4 2, 60.60°, d = 1.528 Å, I = 10
- hkl 0 0 6, 60.91°, d = 1.521 Å, I = 19
- hkl 2 0 4, 63.53°, d = 1.464 Å, I = 8

Crystal structure
Unit cell a=3.600 b=6.199 c=9.451 alpha=77.03 beta=79.07 gamma=73.27
Space group P-1 (No. 2)
Inequivalent atoms, fractional coordinates:
La1 0.000 0.000 0.000
Pr1 0.000 0.500 0.500
Er1 0.331 0.003 0.335
Er2 0.331 0.504 0.834

(3)
This entry pairs a crystal structure of La16Pr6Er7 with its simulated powder diffractogram. Radiation: copper Kα. Structure: a cell relaxed with PBE.
Lines closer than 0.1° are merged.

Largest 10 diffraction maxima, low angle first, 2θ from 10° to 90°:
- hkl 4 2 2, 27.10°, d = 3.290 Å, I = 11
- hkl 3 3 3, 28.78°, d = 3.102 Å, I = 35
- hkl 4 4 0, 31.40°, d = 2.849 Å, I = 100
- hkl 6 2 2, 36.99°, d = 2.430 Å, I = 10
- hkl 7 3 1, 43.11°, d = 2.098 Å, I = 12
- hkl 8 0 0, 44.99°, d = 2.015 Å, I = 12
- hkl 8 4 4, 55.89°, d = 1.645 Å, I = 18
- hkl 9 3 3, 56.83°, d = 1.620 Å, I = 11
- hkl 10 6 2, 68.93°, d = 1.362 Å, I = 10
- hkl 13 3 1, 79.57°, d = 1.205 Å, I = 10

Crystal structure
Unit cell a=16.118 b=16.118 c=16.118 alpha=90.00 beta=90.00 gamma=90.00
Space group Fm-3m (No. 225)
Inequivalent atoms, fractional coordinates:
La1 0.121 0.121 0.121
La2 0.155 0.155 0.345
Pr1 0.000 0.000 0.300
Er1 0.000 0.000 0.000
Er2 0.000 0.250 0.250

(4)
This entry pairs a crystal structure of La4Pr5Er4 with its simulated powder diffractogram. Radiation: copper Kα. Structure: a cell relaxed with PBE.
Lines closer than 0.1° are merged.

Largest 10 diffraction maxima, low angle first, 2θ from 10° to 90°:
- hkl 3 2 1, 29.87°, d = 2.991 Å, I = 100
- hkl 0 0 2, 34.54°, d = 2.597 Å, I = 17
- hkl 1 5 0, 34.66°, d = 2.588 Å, I = 34
- hkl 1 5 2, 49.77°, d = 1.832 Å, I = 36
- hkl 3 2 3, 59.03°, d = 1.565 Å, I = 15
- hkl 8 1 1, 59.19°, d = 1.561 Å, I = 29
- hkl 6 4 2, 62.05°, d = 1.496 Å, I = 12
- hkl 8 1 3, 80.82°, d = 1.189 Å, I = 12
- hkl 9 6 1, 80.96°, d = 1.188 Å, I = 6
- hkl 2 10 2, 83.51°, d = 1.158 Å, I = 11

Crystal structure
Unit cell a=13.195 b=13.195 c=5.194 alpha=90.00 beta=90.00 gamma=90.00
Space group I4/m (No. 87)
Inequivalent atoms, fractional coordinates:
La1 0.077 0.383 0.000
Pr1 0.000 0.000 0.000
Pr2 0.043 0.191 0.500
Er1 0.154 0.768 0.000

(5)
This entry pairs a crystal structure of La4Pr2ErSc with its simulated powder diffractogram. Radiation: copper Kα. Structure: a cell relaxed with PBE.
Lines closer than 0.1° are merged.

Largest 10 diffraction maxima, low angle first, 2θ from 10° to 90°:
- hkl 1 1 2, 30.06°, d = 2.973 Å, I = 100
- hkl 0 2 0, 34.54°, d = 2.597 Å, I = 17
- hkl 2 0 0, 34.77°, d = 2.580 Å, I = 17
- hkl 0 0 4, 35.23°, d = 2.548 Å, I = 16
- hkl 2 2 0, 49.82°, d = 1.830 Å, I = 12
- hkl 0 2 4, 50.16°, d = 1.819 Å, I = 12
- hkl 1 3 2, 59.14°, d = 1.562 Å, I = 15
- hkl 3 1 2, 59.45°, d = 1.555 Å, I = 14
- hkl 1 1 6, 60.05°, d = 1.541 Å, I = 14
- hkl 2 2 4, 62.48°, d = 1.486 Å, I = 12

Crystal structure
Unit cell a=5.160 b=5.194 c=10.191 alpha=90.00 beta=90.00 gamma=90.00
Space group Pmmm (No. 47)
Inequivalent atoms, fractional coordinates:
La1 0.000 0.000 0.246
La2 0.500 0.500 0.247
Pr1 0.000 0.500 0.000
Pr2 0.500 0.000 0.500
Er1 0.000 0.500 0.500
Sc1 0.500 0.000 0.000

(6)
This entry pairs a crystal structure of LaPr2Er5Sc with its simulated powder diffractogram. Radiation: copper Kα. Structure: a cell relaxed with PBE.
Lines closer than 0.1° are merged.

Largest 10 diffraction maxima, low angle first, 2θ from 10° to 90°:
- hkl 2 1 3, 28.85°, d = 3.094 Å, I = 72
- hkl 2 2 0, 29.13°, d = 3.065 Å, I = 51
- hkl 2 0 4, 31.06°, d = 2.879 Å, I = 100
- hkl 3 1 0, 32.66°, d = 2.742 Å, I = 30
- hkl 2 1 5, 37.28°, d = 2.412 Å, I = 14
- hkl 3 2 1, 37.87°, d = 2.376 Å, I = 20
- hkl 4 1 1, 43.42°, d = 2.084 Å, I = 22
- hkl 4 1 3, 46.68°, d = 1.946 Å, I = 18
- hkl 4 2 4, 52.87°, d = 1.732 Å, I = 18
- hkl 5 1 4, 59.42°, d = 1.555 Å, I = 14

Crystal structure
Unit cell a=8.670 b=8.670 c=15.405 alpha=90.00 beta=90.00 gamma=90.00
Space group I4/mcm (No. 140)
Inequivalent atoms, fractional coordinates:
La1 0.000 0.000 0.250
Pr1 0.120 0.380 0.000
Er1 0.000 0.000 0.000
Er2 0.206 0.294 0.360
Sc1 0.000 0.500 0.250

(7)
This entry pairs a crystal structure of La2PrEr3Se6 with its simulated powder diffractogram. Radiation: copper Kα. Structure: a cell relaxed with PBE.
Lines closer than 0.1° are merged.

Largest 10 diffraction maxima, low angle first, 2θ from 10° to 90°:
- hkl 3 1 0, 26.52°, d = 3.361 Å, I = 9
- hkl 6 0 0, 30.35°, d = 2.945 Å, I = 100
- hkl 2 0 -4, 42.64°, d = 2.121 Å, I = 13
- hkl 7 1 -2, 42.81°, d = 2.112 Å, I = 25
- hkl 5 1 2, 44.11°, d = 2.053 Å, I = 24
- hkl 0 2 0, 44.24°, d = 2.048 Å, I = 12
- hkl 6 2 0, 54.60°, d = 1.681 Å, I = 13
- hkl 13 1 -2, 70.73°, d = 1.332 Å, I = 11
- hkl 11 1 2, 72.61°, d = 1.302 Å, I = 11
- hkl 12 2 0, 80.39°, d = 1.195 Å, I = 8

Crystal structure
Unit cell a=18.343 b=4.095 c=8.489 alpha=90.00 beta=105.72 gamma=90.00
Space group C2/m (No. 12)
Inequivalent atoms, fractional coordinates:
La1 0.166 0.000 0.331
Pr1 0.000 0.500 0.000
Er1 0.000 0.500 0.500
Er2 0.166 0.000 0.833
Se1 0.006 0.000 0.738
Se2 0.162 0.500 0.595
Se3 0.171 0.500 0.069

(8)
This entry pairs a crystal structure of LaPr2Sm2Er with its simulated powder diffractogram. Radiation: copper Kα. Structure: a cell relaxed with PBE.
Lines closer than 0.1° are merged.

Largest 10 diffraction maxima, low angle first, 2θ from 10° to 90°:
- hkl 0 2 2, 30.74°, d = 2.908 Å, I = 88
- hkl 2 0 0, 30.88°, d = 2.895 Å, I = 100
- hkl 2 0 2, 40.10°, d = 2.249 Å, I = 14
- hkl 2 2 2, 44.14°, d = 2.052 Å, I = 32
- hkl 3 3 0, 54.86°, d = 1.673 Å, I = 47
- hkl 2 0 4, 60.98°, d = 1.519 Å, I = 29
- hkl 4 0 0, 64.35°, d = 1.448 Å, I = 12
- hkl 3 5 2, 73.01°, d = 1.296 Å, I = 15
- hkl 3 3 4, 78.37°, d = 1.220 Å, I = 14
- hkl 5 3 0, 89.51°, d = 1.095 Å, I = 12

Crystal structure
Unit cell a=5.793 b=10.026 c=7.140 alpha=90.00 beta=90.00 gamma=90.00
Space group Pmc2_1 (No. 26)
Inequivalent atoms, fractional coordinates:
La1 0.000 0.000 0.000
Pr1 0.000 0.330 0.250
Pr2 0.500 0.500 0.000
Sm1 0.000 0.335 0.750
Sm2 0.500 0.168 0.250
Er1 0.500 0.165 0.750

(9)
This entry pairs a crystal structure of La2PrSm4Er with its simulated powder diffractogram. Radiation: copper Kα. Structure: a cell relaxed with PBE.
Lines closer than 0.1° are merged.

Largest 10 diffraction maxima, low angle first, 2θ from 10° to 90°:
- hkl 1 1 2, 29.92°, d = 2.986 Å, I = 100
- hkl 0 2 0, 34.65°, d = 2.588 Å, I = 34
- hkl 2 0 0, 34.76°, d = 2.581 Å, I = 17
- hkl 2 2 0, 49.87°, d = 1.829 Å, I = 36
- hkl 1 3 2, 59.21°, d = 1.561 Å, I = 29
- hkl 3 1 2, 59.34°, d = 1.557 Å, I = 14
- hkl 2 2 4, 62.17°, d = 1.493 Å, I = 12
- hkl 1 3 6, 80.99°, d = 1.187 Å, I = 9
- hkl 3 3 2, 81.09°, d = 1.186 Å, I = 9
- hkl 2 4 0, 83.54°, d = 1.157 Å, I = 11

Crystal structure
Unit cell a=5.162 b=5.177 c=10.354 alpha=90.00 beta=90.05 gamma=90.00
Space group P2/m (No. 10)
Inequivalent atoms, fractional coordinates:
La1 0.000 0.000 0.000
La2 0.500 0.500 0.500
Pr1 0.000 0.000 0.500
Sm1 0.001 0.500 0.753
Sm2 0.500 0.000 0.248
Er1 0.500 0.500 0.000

(10)
This entry pairs a crystal structure of LaPrSm5Er2 with its simulated powder diffractogram. Radiation: copper Kα. Structure: a cell relaxed with PBE.
Lines closer than 0.1° are merged.

Largest 10 diffraction maxima, low angle first, 2θ from 10° to 90°:
- hkl 0 6 1, 27.84°, d = 3.205 Å, I = 20
- hkl 1 1 3, 29.77°, d = 3.001 Å, I = 42
- hkl 2 0 0, 31.42°, d = 2.848 Å, I = 44
- hkl 1 5 2, 31.89°, d = 2.806 Å, I = 100
- hkl 0 0 4, 33.31°, d = 2.690 Å, I = 11
- hkl 2 6 1, 42.47°, d = 2.129 Å, I = 13
- hkl 0 6 5, 50.37°, d = 1.812 Å, I = 12
- hkl 3 5 2, 56.23°, d = 1.636 Å, I = 22
- hkl 1 11 3, 58.91°, d = 1.568 Å, I = 15
- hkl 2 6 5, 60.58°, d = 1.529 Å, I = 13

Crystal structure
Unit cell a=5.695 b=20.141 c=10.760 alpha=90.00 beta=90.00 gamma=90.00
Space group Cmc2_1 (No. 36)
Inequivalent atoms, fractional coordinates:
La1 0.000 0.082 0.000
Pr1 0.000 0.297 0.562
Sm1 0.000 0.022 0.290
Sm2 0.000 0.110 0.578
Sm3 0.000 0.204 0.257
Sm4 0.000 0.218 0.861
Sm5 0.000 0.483 0.579
Er1 0.000 0.384 0.874
Er2 0.000 0.389 0.286

(11)
This entry pairs a crystal structure of La2Pr4SmEr2 with its simulated powder diffractogram. Radiation: copper Kα. Structure: a cell relaxed with PBE.
Lines closer than 0.1° are merged.

Largest 10 diffraction maxima, low angle first, 2θ from 10° to 90°:
- hkl 6 0 -1, 29.78°, d = 3.001 Å, I = 98
- hkl 3 1 1, 29.85°, d = 2.994 Å, I = 98
- hkl 3 1 -2, 34.56°, d = 2.595 Å, I = 100
- hkl 6 0 -4, 49.60°, d = 1.838 Å, I = 35
- hkl 0 2 0, 49.75°, d = 1.833 Å, I = 36
- hkl 0 2 3, 59.00°, d = 1.566 Å, I = 35
- hkl 6 2 -1, 59.09°, d = 1.563 Å, I = 35
- hkl 6 2 2, 61.98°, d = 1.497 Å, I = 18
- hkl 3 3 1, 80.81°, d = 1.189 Å, I = 17
- hkl 3 3 -2, 83.35°, d = 1.159 Å, I = 16

Crystal structure
Unit cell a=19.045 b=3.666 c=9.016 alpha=90.00 beta=90.11 gamma=90.00
Space group C2/m (No. 12)
Inequivalent atoms, fractional coordinates:
La1 0.112 0.000 0.174
Pr1 0.056 0.500 0.828
Pr2 0.221 0.000 0.828
Sm1 0.000 0.000 0.500
Er1 0.168 0.500 0.501

(12)
This entry pairs a crystal structure of La2TbPr4Er with its simulated powder diffractogram. Radiation: copper Kα. Structure: a cell relaxed with PBE.
Lines closer than 0.1° are merged.

Largest 10 diffraction maxima, low angle first, 2θ from 10° to 90°:
- hkl 1 1 2, 29.75°, d = 3.003 Å, I = 100
- hkl 0 2 0, 34.41°, d = 2.606 Å, I = 34
- hkl 2 0 0, 34.63°, d = 2.590 Å, I = 17
- hkl 0 2 4, 49.49°, d = 1.842 Å, I = 18
- hkl 2 2 0, 49.64°, d = 1.836 Å, I = 18
- hkl 1 1 6, 58.74°, d = 1.572 Å, I = 15
- hkl 1 3 2, 58.83°, d = 1.570 Å, I = 15
- hkl 3 1 2, 59.08°, d = 1.564 Å, I = 14
- hkl 2 2 4, 61.78°, d = 1.502 Å, I = 12
- hkl 3 3 2, 80.61°, d = 1.192 Å, I = 9

Crystal structure
Unit cell a=5.180 b=5.208 c=10.436 alpha=90.00 beta=90.09 gamma=90.00
Space group P2/m (No. 10)
Inequivalent atoms, fractional coordinates:
La1 0.000 0.000 0.000
La2 0.500 0.500 0.500
Tb1 0.000 0.000 0.500
Pr1 0.000 0.500 0.249
Pr2 0.500 0.000 0.250
Er1 0.500 0.500 0.000

(13)
This entry pairs a crystal structure of La2Tb2PrEr with its simulated powder diffractogram. Radiation: copper Kα. Structure: a cell relaxed with PBE.
Lines closer than 0.1° are merged.

Largest 10 diffraction maxima, low angle first, 2θ from 10° to 90°:
- hkl 2 1 1, 30.89°, d = 2.894 Å, I = 100
- hkl 0 1 3, 30.97°, d = 2.887 Å, I = 77
- hkl 0 2 0, 31.08°, d = 2.877 Å, I = 38
- hkl 2 2 0, 40.28°, d = 2.239 Å, I = 16
- hkl 2 0 4, 44.27°, d = 2.046 Å, I = 13
- hkl 2 2 2, 44.38°, d = 2.041 Å, I = 25
- hkl 0 0 6, 55.03°, d = 1.669 Å, I = 34
- hkl 0 3 3, 55.21°, d = 1.664 Å, I = 28
- hkl 4 2 0, 61.31°, d = 1.512 Å, I = 35
- hkl 4 3 3, 78.85°, d = 1.214 Å, I = 11

Crystal structure
Unit cell a=7.103 b=5.755 c=10.014 alpha=90.00 beta=90.00 gamma=90.00
Space group Pmma (No. 51)
Inequivalent atoms, fractional coordinates:
La1 0.000 0.000 0.000
La2 0.250 0.500 0.169
Tb1 0.250 0.000 0.333
Tb2 0.250 0.500 0.833
Pr1 0.000 0.500 0.500
Er1 0.250 0.000 0.664